# 1
# Li3CuF4
Computed X-ray powder pattern, Cu Kα (λ = 1.5418 Å). Input: the GGA-PBE geometry in the Materials Project.

Cell: 6.437 5.545 5.124 Å, 90.00 90.00 90.00°
Sites, in units of the cell vectors:
Li1 0.000 0.172 0.000
Li2 0.249 0.666 0.999
Li3 0.251 0.334 0.499
Li4 0.500 0.828 0.500
Li5 0.749 0.334 0.499
Li6 0.751 0.666 0.999
Cu1 0.000 0.831 0.497
Cu2 0.500 0.169 0.997
F1 0.000 0.195 0.371
F2 0.000 0.839 0.912
F3 0.231 0.345 0.869
F4 0.269 0.655 0.369
F5 0.500 0.161 0.412
F6 0.500 0.805 0.871
F7 0.731 0.655 0.369
F8 0.769 0.345 0.869

Largest 8 diffraction maxima, in order of falling intensity, 2θ from 5° to 70°:
d (Å), 2θ (°), I_rel
4.009, 22.17, 100.0
4.201, 21.15, 84.6
2.784, 32.16, 78.3
2.562, 35.02, 68.3
3.763, 23.64, 68.2
1.455, 63.97, 57.3
2.187, 41.27, 49.4
1.603, 57.50, 47.1

=====

# 2
# Na2Li5Sn4
Computed X-ray powder pattern, Cu Kα (λ = 1.5418 Å). Input: the GGA-PBE geometry in the Materials Project.

Cell: 24.394 24.394 24.394 Å, 11.71 11.71 11.71°
Sites, in units of the cell vectors:
Na1 0.047 0.047 0.047
Na2 0.242 0.242 0.242
Na3 0.758 0.758 0.758
Na4 0.953 0.953 0.953
Li1 0.200 0.200 0.200
Li2 0.284 0.284 0.284
Li3 0.323 0.323 0.323
Li4 0.441 0.441 0.441
Li5 0.479 0.479 0.479
Li6 0.521 0.521 0.521
Li7 0.559 0.559 0.559
Li8 0.677 0.677 0.677
Li9 0.716 0.716 0.716
Li10 0.800 0.800 0.800
Sn1 0.120 0.120 0.120
Sn2 0.160 0.160 0.160
Sn3 0.362 0.362 0.362
Sn4 0.401 0.401 0.401
Sn5 0.599 0.599 0.599
Sn6 0.638 0.638 0.638
Sn7 0.840 0.840 0.840
Sn8 0.880 0.880 0.880

Largest 8 diffraction maxima, in order of falling intensity, 2θ from 5° to 70°:
d (Å), 2θ (°), I_rel
4.193, 21.19, 100.0
2.488, 36.10, 61.8
2.410, 37.31, 51.9
3.893, 22.84, 29.2
2.020, 44.87, 26.2
1.421, 65.72, 24.0
2.166, 41.69, 20.6
1.731, 52.90, 20.4

=====

# 3
# TiF3
Computed X-ray powder pattern, Cu Kα (λ = 1.5418 Å). Input: the GGA-PBE geometry in the Materials Project.

Cell: 3.950 3.950 3.950 Å, 90.00 90.00 90.00°
Sites, in units of the cell vectors:
Ti1 0.000 0.000 0.000
F1 0.000 0.000 0.500
F2 0.000 0.500 0.000
F3 0.500 0.000 0.000

Largest 7 diffraction maxima, in order of falling intensity, 2θ from 5° to 70°:
d (Å), 2θ (°), I_rel
3.950, 22.51, 100.0
1.767, 51.74, 33.5
1.975, 45.95, 31.0
1.397, 67.00, 15.9
2.793, 32.04, 12.7
1.613, 57.11, 4.8
2.281, 39.51, 0.8

=====

# 4
# Na2ZnSnP2SO12
Computed X-ray powder pattern, Cu Kα (λ = 1.5418 Å). Input: the GGA-PBE geometry in the Materials Project.

Cell: 8.837 8.837 9.048 Å, 119.01 119.01 60.34°
Sites, in units of the cell vectors:
Na1 0.071 0.929 0.500
Na2 0.181 0.664 0.749
Na3 0.664 0.181 0.249
Na4 0.929 0.071 0.000
Zn1 0.042 0.535 0.318
Zn2 0.535 0.042 0.818
Sn1 0.342 0.849 0.219
Sn2 0.849 0.342 0.719
P1 0.148 0.241 0.522
P2 0.241 0.148 0.022
P3 0.741 0.946 0.531
P4 0.946 0.741 0.031
S1 0.448 0.643 0.521
S2 0.643 0.448 0.021
O1 0.065 0.159 0.845
O2 0.116 0.414 0.499
O3 0.120 0.756 0.034
O4 0.159 0.065 0.345
O5 0.199 0.311 0.181
O6 0.252 0.966 0.030
O7 0.285 0.621 0.502
O8 0.311 0.199 0.681
O9 0.414 0.116 0.999
O10 0.424 0.663 0.353
O11 0.470 0.610 0.032
O12 0.478 0.802 0.677
O13 0.572 0.916 0.358
O14 0.610 0.470 0.532
O15 0.621 0.285 0.002
O16 0.663 0.424 0.853
O17 0.714 0.983 0.700
O18 0.756 0.120 0.534
O19 0.786 0.919 0.009
O20 0.802 0.478 0.177
O21 0.916 0.572 0.858
O22 0.919 0.786 0.509
O23 0.966 0.252 0.530
O24 0.983 0.714 0.200

Largest 8 diffraction maxima, in order of falling intensity, 2θ from 5° to 70°:
d (Å), 2θ (°), I_rel
2.861, 31.26, 100.0
4.531, 19.59, 97.5
4.419, 20.10, 70.5
3.815, 23.32, 60.2
3.166, 28.18, 59.4
6.332, 13.99, 58.4
2.560, 35.05, 48.3
2.854, 31.34, 47.1

=====

# 5
# TmCuS2
Computed X-ray powder pattern, Cu Kα (λ = 1.5418 Å). Input: the GGA-PBE geometry in the Materials Project.

Cell: 3.966 6.261 13.312 Å, 90.00 90.00 90.00°
Sites, in units of the cell vectors:
Tm1 0.218 0.247 0.134
Tm2 0.282 0.753 0.634
Tm3 0.718 0.253 0.866
Tm4 0.782 0.747 0.366
Cu1 0.205 0.151 0.444
Cu2 0.295 0.849 0.944
Cu3 0.705 0.349 0.556
Cu4 0.795 0.651 0.056
S1 0.221 0.017 0.793
S2 0.221 0.486 0.960
S3 0.279 0.514 0.460
S4 0.279 0.983 0.293
S5 0.721 0.014 0.040
S6 0.721 0.483 0.207
S7 0.779 0.517 0.707
S8 0.779 0.986 0.540

Largest 8 diffraction maxima, in order of falling intensity, 2θ from 5° to 70°:
d (Å), 2θ (°), I_rel
3.249, 27.45, 100.0
3.620, 24.59, 94.7
2.305, 39.08, 67.7
2.674, 33.52, 64.7
1.936, 46.93, 45.8
5.666, 15.64, 38.7
2.280, 39.52, 36.9
1.983, 45.76, 24.2

=====

# 6
# Pb13Br6O10
Computed X-ray powder pattern, Cu Kα (λ = 1.5418 Å). Input: the GGA-PBE geometry in the Materials Project.

Cell: 9.171 9.171 24.509 Å, 97.99 97.99 47.40°
Sites, in units of the cell vectors:
Pb1 0.011 0.157 0.633
Pb2 0.057 0.209 0.417
Pb3 0.110 0.682 0.208
Pb4 0.157 0.011 0.133
Pb5 0.160 0.371 0.061
Pb6 0.187 0.714 0.988
Pb7 0.209 0.057 0.917
Pb8 0.223 0.777 0.750
Pb9 0.257 0.389 0.849
Pb10 0.286 0.813 0.512
Pb11 0.318 0.890 0.292
Pb12 0.371 0.160 0.561
Pb13 0.389 0.257 0.349
Pb14 0.611 0.743 0.651
Pb15 0.629 0.840 0.439
Pb16 0.682 0.110 0.708
Pb17 0.714 0.187 0.488
Pb18 0.743 0.611 0.151
Pb19 0.777 0.223 0.250
Pb20 0.791 0.943 0.083
Pb21 0.813 0.286 0.012
Pb22 0.840 0.629 0.939
Pb23 0.843 0.989 0.867
Pb24 0.890 0.318 0.792
Pb25 0.943 0.791 0.583
Pb26 0.989 0.843 0.367
Br1 0.006 0.369 0.253
Br2 0.180 0.499 0.460
Br3 0.369 0.006 0.753
Br4 0.446 0.494 0.133
Br5 0.494 0.446 0.633
Br6 0.499 0.180 0.960
Br7 0.501 0.820 0.040
Br8 0.506 0.554 0.367
Br9 0.554 0.506 0.867
Br10 0.631 0.994 0.247
Br11 0.820 0.501 0.540
Br12 0.994 0.631 0.747
O1 0.003 0.015 0.941
O2 0.015 0.003 0.441
O3 0.017 0.324 0.981
O4 0.021 0.029 0.317
O5 0.029 0.021 0.817
O6 0.046 0.669 0.901
O7 0.049 0.341 0.864
O8 0.324 0.017 0.481
O9 0.331 0.954 0.599
O10 0.341 0.049 0.364
O11 0.659 0.951 0.636
O12 0.669 0.046 0.401
O13 0.676 0.983 0.519
O14 0.951 0.659 0.136
O15 0.954 0.331 0.099
O16 0.971 0.979 0.183
O17 0.979 0.971 0.683
O18 0.983 0.676 0.019
O19 0.985 0.997 0.559
O20 0.997 0.985 0.059

Largest 8 diffraction maxima, in order of falling intensity, 2θ from 5° to 70°:
d (Å), 2θ (°), I_rel
3.025, 29.53, 100.0
3.149, 28.34, 96.1
2.995, 29.83, 82.5
2.848, 31.41, 79.8
2.973, 30.06, 72.7
2.954, 30.26, 70.7
3.086, 28.93, 67.0
2.934, 30.47, 60.1

=====

# 7
# La3Ta2N6
Computed X-ray powder pattern, Cu Kα (λ = 1.5418 Å). Input: the GGA-PBE geometry in the Materials Project.

Cell: 10.498 10.498 10.498 Å, 157.54 157.54 31.97°
Sites, in units of the cell vectors:
La1 0.000 0.000 0.000
La2 0.181 0.181 0.000
La3 0.819 0.819 0.000
Ta1 0.399 0.399 0.000
Ta2 0.601 0.601 0.000
N1 0.086 0.586 0.500
N2 0.302 0.302 0.000
N3 0.414 0.914 0.500
N4 0.586 0.086 0.500
N5 0.698 0.698 0.000
N6 0.914 0.414 0.500

Largest 8 diffraction maxima, in order of falling intensity, 2θ from 5° to 70°:
d (Å), 2θ (°), I_rel
2.873, 31.13, 100.0
2.891, 30.93, 58.5
1.666, 55.14, 40.8
2.044, 44.31, 28.3
1.655, 55.53, 14.0
5.046, 17.58, 11.2
1.436, 64.92, 10.3
1.966, 46.17, 9.4

=====

# 8
# Cs2As2Pt
Computed X-ray powder pattern, Cu Kα (λ = 1.5418 Å). Input: the GGA-PBE geometry in the Materials Project.

Cell: 8.324 8.324 6.667 Å, 90.00 90.00 129.05°
Sites, in units of the cell vectors:
Cs1 0.085 0.915 0.750
Cs2 0.294 0.706 0.250
Cs3 0.706 0.294 0.750
Cs4 0.915 0.085 0.250
As1 0.231 0.426 0.750
As2 0.426 0.231 0.250
As3 0.574 0.769 0.750
As4 0.769 0.574 0.250
Pt1 0.500 0.500 0.000
Pt2 0.500 0.500 0.500

Largest 8 diffraction maxima, in order of falling intensity, 2θ from 5° to 70°:
d (Å), 2θ (°), I_rel
3.495, 25.48, 100.0
6.464, 13.70, 74.9
7.515, 11.78, 65.2
2.589, 34.65, 65.0
2.908, 30.74, 50.6
3.580, 24.87, 41.9
2.772, 32.30, 41.9
1.869, 48.71, 35.0